Structure and computed X-ray diffraction stick pattern of CaMn3O4 (the GGA+U geometry in Alexandria; Cu Kα X-rays).
Peak positions follow from Bragg's law for the DFT cell and can differ from measured ones.

Peak list (10 most intense, 5° ≤ 2θ ≤ 70°, most intense first)
2θ/deg  d_spacing  I (rel.)  hkl
39.3  2.295  100  2 0 1
56.7  1.622  39  2 4 1
33.7  2.656  28  0 2 1
33.9  2.644  28  2 2 0
56.5  1.629  10  0 0 2
56.9  1.618  10  4 0 0
67.5  1.387  7  2 2 2
67.8  1.383  7  2 6 0
67.8  1.382  7  4 2 1
16.8  5.289  2  1 1 0

Structure:
```
data_CaMn3O4
_space_group_name_H-M_alt 'C m m m'
_space_group_IT_number 65
_space_group_name_Hall '-C 2 2'
_cell_length_a 6.4737
_cell_length_b 9.1718
_cell_length_c 3.2577
_cell_angle_alpha 90.00
_cell_angle_beta 90.00
_cell_angle_gamma 90.00
loop_
_atom_site_label
_atom_site_fract_x
_atom_site_fract_y
_atom_site_fract_z
Ca1 0.0000 0.0000 0.0000
Mn1 0.0000 0.5000 0.0000
Mn2 0.2500 0.2500 0.5000
O1 0.0000 0.2548 0.0000
O2 0.2413 0.5000 0.5000
```